Entry 1:
For Ba6Ti5PtO18, a DFT-relaxed cell (GGA-PBE, Alexandria) gives the calculated powder diffraction line list in this record (CuKα).
Peak positions follow from Bragg's law for the DFT cell and can differ from measured ones.

Peak list (10 most intense, 10° ≤ 2θ ≤ 90°, low angle first)
2theta, I/Imax
21.6, 15
25.8, 32
30.7, 66
30.8, 100
40.6, 24
44.1, 39
54.8, 45
58.3, 15
64.3, 19
89.4, 17

Cell and atoms:
```
30
Lattice="5.7969 0.0000 0.0000 -2.8985 5.0203 0.0000 0.0000 0.0000 14.2735" Properties=species:S:1:pos:R:3 pbc="T T T"
Ba 0.0000 0.0000 0.0000
Ba 0.0000 0.0000 4.3988
Ba 0.0000 3.3469 2.1857
Ba 0.0000 3.3469 9.2969
Ba 2.8985 1.6734 7.0499
Ba 2.8985 1.6734 11.5133
Ti 0.0000 0.0000 7.8820
Ti 0.0000 3.3469 5.6702
Ti 0.0000 3.3469 12.8490
Ti 2.8985 1.6734 0.7546
Ti 2.8985 1.6734 3.4648
Pt 0.0000 0.0000 10.6939
O -1.4224 2.5256 4.6877
O 0.0000 1.6656 6.9735
O -1.4560 4.1875 6.9735
O 0.0000 1.7162 11.8773
O -1.4122 4.1622 11.8773
O 1.3152 0.7593 9.3787
O 1.5973 0.9222 2.2848
O 1.4225 2.5256 4.6877
O 0.0000 4.9894 4.6877
O 2.8985 0.0039 14.1503
O 1.4526 2.5082 14.1503
O 1.4122 4.1622 11.8773
O 1.4560 4.1875 6.9735
O 4.1997 0.9222 2.2848
O 2.8985 3.1759 2.2848
O 4.4818 0.7593 9.3787
O 2.8985 3.5017 9.3787
O 4.3444 2.5082 14.1503
```

Entry 2:
For Ba2ZnPtO4, a DFT-relaxed cell (GGA-PBE, Alexandria) gives the calculated powder diffraction line list in this record (CuKα).
Peak positions follow from Bragg's law for the DFT cell and can differ from measured ones.

Peak list (10 most intense, 10° ≤ 2θ ≤ 90°, low angle first)
2theta, I/Imax
17.0, 100
19.3, 34
26.1, 31
28.0, 47
29.3, 32
32.5, 83
32.9, 75
42.1, 30
51.3, 50
52.7, 28

Cell and atoms:
```
16
Lattice="0.0000 6.3823 9.1769 3.0139 0.0000 9.1769 3.0139 6.3823 0.0000" Properties=species:S:1:pos:R:3 pbc="T T T"
Ba 2.2604 4.7867 0.9207
Ba 3.7674 7.9779 5.5092
Ba 2.2604 4.7867 12.8447
Ba 3.7674 7.9779 17.4332
Zn 2.2604 4.7867 6.8827
Zn 3.7674 7.9779 11.4712
Pt 0.7535 1.5956 2.2942
Pt 5.2743 11.1690 16.0596
O 3.7434 3.4371 6.6354
O 3.7434 6.1363 7.1300
O 5.2503 6.6282 11.7185
O 5.2503 9.3275 11.2239
O 0.7775 3.4371 7.1300
O 0.7775 6.1363 6.6354
O 2.2844 6.6282 11.2239
O 2.2844 9.3275 11.7185
```

Entry 3:
For Ba6Pu3O14, a DFT-relaxed cell (GGA-PBE, Alexandria) gives the calculated powder diffraction line list in this record (CuKα).
Peak positions follow from Bragg's law for the DFT cell and can differ from measured ones.

Peak list (10 most intense, 10° ≤ 2θ ≤ 90°, low angle first)
2theta, I/Imax
18.0, 23
18.7, 32
23.7, 41
26.1, 100
28.8, 17
29.0, 21
32.3, 33
32.7, 18
38.0, 17
50.7, 18

Cell and atoms:
```
23
Lattice="9.4752 0.0000 0.0000 -4.7376 8.2058 0.0000 0.0000 0.0000 6.1567" Properties=species:S:1:pos:R:3 pbc="T T T"
Ba -2.4970 4.6642 0.0000
Ba 2.3234 0.4031 3.2286
Ba 1.9468 3.7112 0.0000
Ba 0.5502 8.0361 0.0000
Ba 3.9250 5.9922 3.2286
Ba 7.9645 1.8106 3.2286
Pu 0.0000 0.0000 6.0863
Pu 0.0000 5.4705 2.7575
Pu 4.7376 2.7353 2.3556
O 0.0000 0.0000 2.0256
O -3.5845 6.8678 5.0419
O 0.5822 1.6676 5.0419
O -0.2592 3.7337 1.7112
O -1.3746 6.5634 1.7112
O 0.0000 5.4705 4.7916
O 3.4552 1.7021 1.1574
O 3.1776 3.3370 3.4995
O 1.6338 6.1145 1.7112
O 4.9965 1.0834 3.4995
O 4.4841 4.3625 1.1574
O 6.2736 2.1412 1.1574
O 3.0023 7.8762 5.0419
O 6.0388 3.7854 3.4995
```